For LiW2O7, a cell relaxed with PBE+U gives the simulated XRD peak list in this record (Cu Ka).

Structural model:
Cell lengths 9.916, 9.916, 9.916 Å; angles 21.38, 21.38, 21.38 degrees
Positions (direct):
Li: 0.000 0.000 0.000
W: 0.432 0.432 0.432
W: 0.568 0.568 0.568
O: 0.100 0.100 0.100
O: 0.230 0.230 0.230
O: 0.370 0.370 0.370
O: 0.500 0.500 0.500
O: 0.630 0.630 0.630
O: 0.770 0.770 0.770
O: 0.900 0.900 0.900

Largest 8 diffraction maxima, in order of falling intensity, 15° ≤ 2θ ≤ 90°:
2θ = 28.18°, intensity 1000
2θ = 18.32°, intensity 906
2θ = 28.68°, intensity 477
2θ = 49.56°, intensity 426
2θ = 35.52°, intensity 392
2θ = 53.27°, intensity 322
2θ = 27.63°, intensity 304
2θ = 37.55°, intensity 304